Entry 1:
Diffraction record for NaH4CSNO2. The powder diffractogram is simulated, not measured: it uses DFT lattice parameters and positions (GGA-PBE) and CuKα.

Top 10 peaks for 2θ from 5° to 70°, in order of rising 2θ:
- 2θ = 23.9°, d = 3.728 Å, rel. 792
- 2θ = 24.1°, d = 3.691 Å, rel. 447
- 2θ = 27.4°, d = 3.260 Å, rel. 385
- 2θ = 27.9°, d = 3.195 Å, rel. 1000
- 2θ = 29.7°, d = 3.010 Å, rel. 647
- 2θ = 31.1°, d = 2.875 Å, rel. 373
- 2θ = 31.5°, d = 2.842 Å, rel. 599
- 2θ = 40.1°, d = 2.249 Å, rel. 600
- 2θ = 45.4°, d = 1.996 Å, rel. 421
- 2θ = 46.8°, d = 1.943 Å, rel. 351

a = 9.1178 Å, b = 9.1178 Å, c = 6.7185 Å
α = 101.82°, β = 101.82°, γ = 96.93°
Positions (direct):
1 Na 0.0683 0.9317 0.7500
2 Na 0.2034 0.7966 0.2500
3 Na 0.7966 0.2034 0.7500
4 Na 0.9317 0.0683 0.2500
5 H 0.0189 0.3732 0.1558
6 H 0.1456 0.6261 0.8199
7 H 0.2189 0.5001 0.3993
8 H 0.2693 0.4706 0.1913
9 H 0.3732 0.0189 0.6558
10 H 0.3739 0.8544 0.6801
11 H 0.4706 0.2693 0.6913
12 H 0.5001 0.2189 0.8993
13 H 0.4999 0.7811 0.1007
14 H 0.5294 0.7307 0.3087
15 H 0.6261 0.1456 0.3199
16 H 0.6268 0.9811 0.3442
17 H 0.7307 0.5294 0.8087
18 H 0.7811 0.4999 0.6007
19 H 0.8544 0.3739 0.1801
20 H 0.9811 0.6268 0.8442
21 C 0.1445 0.2951 0.6746
22 C 0.2951 0.1445 0.1746
23 C 0.7049 0.8555 0.8254
24 C 0.8555 0.7049 0.3254
25 S 0.2783 0.4415 0.7115
26 S 0.4415 0.2783 0.2115
27 S 0.5585 0.7217 0.7885
28 S 0.7217 0.5585 0.2885
29 N 0.0497 0.1873 0.6492
30 N 0.1873 0.0497 0.1492
31 N 0.8127 0.9503 0.8508
32 N 0.9503 0.8127 0.3508
33 O 0.0798 0.6958 0.8724
34 O 0.1944 0.5187 0.2566
35 O 0.3042 0.9202 0.6276
36 O 0.4813 0.8056 0.2434
37 O 0.5187 0.1944 0.7566
38 O 0.6958 0.0798 0.3724
39 O 0.8056 0.4813 0.7434
40 O 0.9202 0.3042 0.1276

---

Entry 2:
Diffraction record for Np2CdGe3Pt4. The powder diffractogram is simulated, not measured: it uses DFT lattice parameters and positions (GGA-PBE) and CuKα.

Top 10 peaks for 2θ from 5° to 70°, in order of rising 2θ:
- 2θ = 30.8°, d = 2.901 Å, rel. 83
- 2θ = 31.0°, d = 2.885 Å, rel. 91
- 2θ = 31.9°, d = 2.807 Å, rel. 382
- 2θ = 34.6°, d = 2.592 Å, rel. 1000
- 2θ = 44.2°, d = 2.051 Å, rel. 435
- 2θ = 44.3°, d = 2.046 Å, rel. 92
- 2θ = 45.1°, d = 2.012 Å, rel. 296
- 2θ = 55.5°, d = 1.656 Å, rel. 136
- 2θ = 64.2°, d = 1.450 Å, rel. 144
- 2θ = 64.9°, d = 1.436 Å, rel. 202

a = 4.1023 Å, b = 4.1023 Å, c = 11.5411 Å
α = 90.00°, β = 90.00°, γ = 90.00°
Positions (direct):
1 Np 0.0000 0.5000 0.2433
2 Np 0.5000 0.0000 0.7567
3 Cd 0.0000 0.0000 0.5000
4 Ge 0.0000 0.5000 0.8702
5 Ge 0.5000 0.0000 0.1298
6 Ge 0.5000 0.5000 0.5000
7 Pt 0.0000 0.0000 0.0000
8 Pt 0.0000 0.5000 0.6594
9 Pt 0.5000 0.0000 0.3406
10 Pt 0.5000 0.5000 0.0000

---

Entry 3:
Diffraction record for Pm6PrTh3. The powder diffractogram is simulated, not measured: it uses DFT lattice parameters and positions (GGA-PBE) and CuKα.

Top 10 peaks for 2θ from 5° to 70°, in order of rising 2θ:
- 2θ = 29.8°, d = 2.994 Å, rel. 637
- 2θ = 30.4°, d = 2.939 Å, rel. 464
- 2θ = 30.6°, d = 2.918 Å, rel. 1000
- 2θ = 30.8°, d = 2.907 Å, rel. 823
- 2θ = 31.0°, d = 2.889 Å, rel. 549
- 2θ = 32.4°, d = 2.765 Å, rel. 320
- 2θ = 32.7°, d = 2.738 Å, rel. 506
- 2θ = 50.5°, d = 1.806 Å, rel. 276
- 2θ = 54.4°, d = 1.687 Å, rel. 251
- 2θ = 60.3°, d = 1.535 Å, rel. 329

a = 3.6121 Å, b = 12.5498 Å, c = 15.3036 Å
α = 86.00°, β = 89.96°, γ = 81.73°
Positions (direct):
1 Pm 0.0142 0.4713 0.3824
2 Pm 0.1990 0.1015 0.4636
3 Pm 0.3038 0.8918 0.0682
4 Pm 0.3697 0.7606 0.6873
5 Pm 0.4104 0.6775 0.2324
6 Pm 0.4612 0.5772 0.8522
7 Pm 0.5388 0.4228 0.1478
8 Pm 0.5896 0.3225 0.7676
9 Pm 0.6303 0.2394 0.3127
10 Pm 0.6962 0.1082 0.9318
11 Pm 0.8010 0.8985 0.5364
12 Pm 0.9858 0.5287 0.6176
13 Pr 0.2175 0.0676 0.7083
14 Pr 0.7825 0.9324 0.2917
15 Th 0.0717 0.3572 0.9622
16 Th 0.1718 0.1565 0.1327
17 Th 0.3994 0.7017 0.4482
18 Th 0.6006 0.2983 0.5518
19 Th 0.8282 0.8435 0.8673
20 Th 0.9283 0.6428 0.0378

---

Entry 4:
Diffraction record for Hf6Zr4Sc19. The powder diffractogram is simulated, not measured: it uses DFT lattice parameters and positions (GGA-PBE) and CuKα.

Top 10 peaks for 2θ from 5° to 70°, in order of rising 2θ:
- 2θ = 10.0°, d = 8.818 Å, rel. 612
- 2θ = 10.9°, d = 8.087 Å, rel. 267
- 2θ = 14.4°, d = 6.139 Å, rel. 197
- 2θ = 30.9°, d = 2.889 Å, rel. 202
- 2θ = 34.9°, d = 2.569 Å, rel. 481
- 2θ = 35.2°, d = 2.549 Å, rel. 1000
- 2θ = 35.3°, d = 2.541 Å, rel. 472
- 2θ = 35.8°, d = 2.512 Å, rel. 783
- 2θ = 36.1°, d = 2.487 Å, rel. 521
- 2θ = 37.6°, d = 2.389 Å, rel. 257

a = 8.1109 Å, b = 10.2022 Å, c = 10.3758 Å
α = 103.66°, β = 111.04°, γ = 109.52°
Positions (direct):
1 Hf 0.0000 0.0000 0.0000
2 Hf 0.0169 0.7210 0.8481
3 Hf 0.0678 0.6915 0.5617
4 Hf 0.1433 0.3331 0.1840
5 Hf 0.4614 0.8418 0.0639
6 Hf 0.6357 0.6995 0.2610
7 Zr 0.1133 0.1680 0.6357
8 Zr 0.1792 0.8355 0.2026
9 Zr 0.5449 0.5549 0.6484
10 Zr 0.7371 0.1456 0.0628
11 Sc 0.9996 0.3486 0.4223
12 Sc 0.1136 0.5308 0.0155
13 Sc 0.2563 0.5297 0.7752
14 Sc 0.2889 0.0139 0.8451
15 Sc 0.3392 0.2303 0.4420
16 Sc 0.3433 0.9880 0.5590
17 Sc 0.3462 0.6666 0.4082
18 Sc 0.3680 0.3556 0.0087
19 Sc 0.4568 0.1409 0.1963
20 Sc 0.5326 0.8466 0.7787
21 Sc 0.5842 0.3260 0.8202
22 Sc 0.6205 0.4783 0.3872
23 Sc 0.6498 0.0254 0.4245
24 Sc 0.7228 0.6870 0.9922
25 Sc 0.8065 0.3827 0.6342
26 Sc 0.8218 0.8491 0.6197
27 Sc 0.8625 0.1693 0.8112
28 Sc 0.8677 0.5118 0.2026
29 Sc 0.9225 0.9911 0.2769

---

Entry 5:
Diffraction record for Mg7Pb5. The powder diffractogram is simulated, not measured: it uses DFT lattice parameters and positions (GGA-PBE) and CuKα.

Top 10 peaks for 2θ from 5° to 70°, in order of rising 2θ:
- 2θ = 20.9°, d = 4.253 Å, rel. 1000
- 2θ = 21.4°, d = 4.151 Å, rel. 754
- 2θ = 23.6°, d = 3.768 Å, rel. 534
- 2θ = 26.6°, d = 3.349 Å, rel. 339
- 2θ = 27.4°, d = 3.252 Å, rel. 439
- 2θ = 28.1°, d = 3.176 Å, rel. 523
- 2θ = 36.4°, d = 2.469 Å, rel. 393
- 2θ = 36.6°, d = 2.455 Å, rel. 411
- 2θ = 38.9°, d = 2.318 Å, rel. 507
- 2θ = 41.8°, d = 2.159 Å, rel. 524

a = 8.5611 Å, b = 8.5611 Å, c = 11.6509 Å
α = 102.39°, β = 102.39°, γ = 23.05°
Positions (direct):
1 Mg 0.0000 0.0000 0.0000
2 Mg 0.1546 0.1546 0.5205
3 Mg 0.2942 0.2942 0.9118
4 Mg 0.4310 0.4310 0.7340
5 Mg 0.5690 0.5690 0.2660
6 Mg 0.7058 0.7058 0.0882
7 Mg 0.8454 0.8454 0.4795
8 Pb 0.2253 0.2253 0.3054
9 Pb 0.3897 0.3897 0.1585
10 Pb 0.5000 0.5000 0.5000
11 Pb 0.6103 0.6103 0.8415
12 Pb 0.7747 0.7747 0.6946

---

Entry 6:
Diffraction record for PrSm2Au8. The powder diffractogram is simulated, not measured: it uses DFT lattice parameters and positions (GGA-PBE) and CuKα.

Top 10 peaks for 2θ from 5° to 70°, in order of rising 2θ:
- 2θ = 33.9°, d = 2.646 Å, rel. 973
- 2θ = 34.2°, d = 2.618 Å, rel. 496
- 2θ = 34.4°, d = 2.606 Å, rel. 519
- 2θ = 34.5°, d = 2.597 Å, rel. 497
- 2θ = 35.1°, d = 2.555 Å, rel. 373
- 2θ = 36.3°, d = 2.478 Å, rel. 420
- 2θ = 37.6°, d = 2.390 Å, rel. 1000
- 2θ = 38.3°, d = 2.349 Å, rel. 549
- 2θ = 38.4°, d = 2.342 Å, rel. 550
- 2θ = 44.9°, d = 2.020 Å, rel. 380

a = 8.6533 Å, b = 8.6533 Å, c = 5.2367 Å
α = 107.52°, β = 107.52°, γ = 124.69°
Positions (direct):
1 Pr 0.0000 0.0000 0.0000
2 Sm 0.3150 0.6850 0.5000
3 Sm 0.6850 0.3150 0.5000
4 Au 0.0950 0.3613 0.7303
5 Au 0.2017 0.7983 0.0000
6 Au 0.3613 0.0950 0.7303
7 Au 0.4990 0.4990 0.7491
8 Au 0.5010 0.5010 0.2509
9 Au 0.6387 0.9050 0.2697
10 Au 0.7983 0.2017 0.0000
11 Au 0.9050 0.6387 0.2697

---

Entry 7:
Diffraction record for Na5SiAs3. The powder diffractogram is simulated, not measured: it uses DFT lattice parameters and positions (GGA-PBE) and CuKα.

Top 10 peaks for 2θ from 5° to 70°, in order of rising 2θ:
- 2θ = 23.5°, d = 3.785 Å, rel. 608
- 2θ = 24.5°, d = 3.626 Å, rel. 872
- 2θ = 25.3°, d = 3.514 Å, rel. 567
- 2θ = 31.6°, d = 2.834 Å, rel. 418
- 2θ = 32.7°, d = 2.739 Å, rel. 708
- 2θ = 32.8°, d = 2.731 Å, rel. 1000
- 2θ = 37.3°, d = 2.414 Å, rel. 564
- 2θ = 38.2°, d = 2.358 Å, rel. 390
- 2θ = 40.0°, d = 2.253 Å, rel. 734
- 2θ = 42.5°, d = 2.128 Å, rel. 439

a = 8.2617 Å, b = 7.5709 Å, c = 15.7878 Å
α = 90.00°, β = 121.11°, γ = 90.00°
Positions (direct):
1 Na 0.0607 0.0060 0.2434
2 Na 0.0607 0.4940 0.7434
3 Na 0.2484 0.5328 0.5837
4 Na 0.2484 0.9672 0.0837
5 Na 0.3339 0.6505 0.2585
6 Na 0.3339 0.8495 0.7585
7 Na 0.3420 0.1630 0.9187
8 Na 0.3420 0.3370 0.4187
9 Na 0.4121 0.0179 0.5867
10 Na 0.4121 0.4821 0.0867
11 Na 0.5879 0.5179 0.9133
12 Na 0.5879 0.9821 0.4133
13 Na 0.6580 0.6630 0.5813
14 Na 0.6580 0.8370 0.0813
15 Na 0.6661 0.1505 0.2415
16 Na 0.6661 0.3495 0.7415
17 Na 0.7516 0.0328 0.9163
18 Na 0.7516 0.4672 0.4163
19 Na 0.9393 0.5060 0.2566
20 Na 0.9393 0.9940 0.7566
21 Si 0.0143 0.1403 0.5847
22 Si 0.0143 0.3597 0.0847
23 Si 0.9857 0.6403 0.9153
24 Si 0.9857 0.8597 0.4153
25 As 0.0227 0.1836 0.4338
26 As 0.0227 0.3164 0.9338
27 As 0.2596 0.7386 0.4197
28 As 0.2596 0.7614 0.9197
29 As 0.3072 0.2345 0.7242
30 As 0.3072 0.2655 0.2242
31 As 0.6928 0.7345 0.7758
32 As 0.6928 0.7655 0.2758
33 As 0.7404 0.2386 0.0803
34 As 0.7404 0.2614 0.5803
35 As 0.9773 0.6836 0.0662
36 As 0.9773 0.8164 0.5662

---

Entry 8:
Diffraction record for Ac13Cd2. The powder diffractogram is simulated, not measured: it uses DFT lattice parameters and positions (GGA-PBE) and CuKα.

Top 10 peaks for 2θ from 5° to 70°, in order of rising 2θ:
- 2θ = 28.0°, d = 3.186 Å, rel. 296
- 2θ = 28.3°, d = 3.151 Å, rel. 1000
- 2θ = 30.1°, d = 2.974 Å, rel. 310
- 2θ = 30.1°, d = 2.968 Å, rel. 280
- 2θ = 37.5°, d = 2.397 Å, rel. 109
- 2θ = 42.8°, d = 2.111 Å, rel. 97
- 2θ = 43.3°, d = 2.091 Å, rel. 108
- 2θ = 52.3°, d = 1.749 Å, rel. 156
- 2θ = 52.4°, d = 1.745 Å, rel. 128
- 2θ = 52.6°, d = 1.740 Å, rel. 83

a = 7.1088 Å, b = 9.3762 Å, c = 10.4547 Å
α = 68.87°, β = 78.35°, γ = 81.89°
Positions (direct):
1 Ac 0.0000 0.0000 0.0000
2 Ac 0.0477 0.4211 0.6999
3 Ac 0.2106 0.1778 0.2328
4 Ac 0.2501 0.5952 0.9467
5 Ac 0.2832 0.9892 0.6469
6 Ac 0.4614 0.3715 0.4135
7 Ac 0.4773 0.7943 0.1553
8 Ac 0.5227 0.2057 0.8447
9 Ac 0.5386 0.6285 0.5865
10 Ac 0.7168 0.0108 0.3531
11 Ac 0.7499 0.4048 0.0533
12 Ac 0.7894 0.8222 0.7672
13 Ac 0.9523 0.5789 0.3001
14 Cd 0.1266 0.7940 0.4561
15 Cd 0.8734 0.2060 0.5439

---

Entry 9:
Diffraction record for Rb3Tl4CuBr8. The powder diffractogram is simulated, not measured: it uses DFT lattice parameters and positions (GGA-PBE) and CuKα.

Top 10 peaks for 2θ from 5° to 70°, in order of rising 2θ:
- 2θ = 11.3°, d = 7.852 Å, rel. 212
- 2θ = 22.0°, d = 4.042 Å, rel. 198
- 2θ = 22.7°, d = 3.909 Å, rel. 153
- 2θ = 25.7°, d = 3.466 Å, rel. 610
- 2θ = 26.7°, d = 3.343 Å, rel. 1000
- 2θ = 37.2°, d = 2.418 Å, rel. 403
- 2θ = 37.6°, d = 2.395 Å, rel. 388
- 2θ = 38.1°, d = 2.364 Å, rel. 336
- 2θ = 46.5°, d = 1.954 Å, rel. 179
- 2θ = 54.9°, d = 1.672 Å, rel. 106

a = 9.5876 Å, b = 9.5876 Å, c = 9.4468 Å
α = 118.89°, β = 118.89°, γ = 59.16°
Positions (direct):
1 Rb 0.0000 0.0000 0.0000
2 Rb 0.0000 0.5000 0.0000
3 Rb 0.5000 0.0000 0.0000
4 Tl 0.0000 0.0000 0.5000
5 Tl 0.0000 0.5000 0.5000
6 Tl 0.5000 0.0000 0.5000
7 Tl 0.5000 0.5000 0.5000
8 Cu 0.5000 0.5000 0.0000
9 Br 0.2267 0.2267 0.7222
10 Br 0.2522 0.2522 0.2571
11 Br 0.3005 0.6937 0.7957
12 Br 0.3063 0.6995 0.2043
13 Br 0.6937 0.3005 0.7957
14 Br 0.6995 0.3063 0.2043
15 Br 0.7478 0.7478 0.7429
16 Br 0.7733 0.7733 0.2778

---

Entry 10:
Diffraction record for La3PmTc. The powder diffractogram is simulated, not measured: it uses DFT lattice parameters and positions (GGA-PBE) and CuKα.

Top 10 peaks for 2θ from 5° to 70°, in order of rising 2θ:
- 2θ = 28.5°, d = 3.127 Å, rel. 422
- 2θ = 28.8°, d = 3.096 Å, rel. 279
- 2θ = 29.0°, d = 3.081 Å, rel. 1000
- 2θ = 29.6°, d = 3.014 Å, rel. 446
- 2θ = 31.4°, d = 2.845 Å, rel. 236
- 2θ = 35.1°, d = 2.558 Å, rel. 213
- 2θ = 35.8°, d = 2.507 Å, rel. 358
- 2θ = 38.2°, d = 2.355 Å, rel. 227
- 2θ = 52.3°, d = 1.748 Å, rel. 226
- 2θ = 57.6°, d = 1.601 Å, rel. 218

a = 7.2100 Å, b = 6.9801 Å, c = 13.1299 Å
α = 90.00°, β = 91.40°, γ = 90.00°
Positions (direct):
1 La 0.1136 0.2491 0.4529
2 La 0.1136 0.7509 0.9529
3 La 0.2490 0.0022 0.2161
4 La 0.2490 0.9978 0.7161
5 La 0.3832 0.2596 0.9609
6 La 0.3832 0.7404 0.4609
7 La 0.6168 0.2596 0.5391
8 La 0.6168 0.7404 0.0391
9 La 0.7510 0.0022 0.2839
10 La 0.7510 0.9978 0.7839
11 La 0.8864 0.2491 0.0471
12 La 0.8864 0.7509 0.5471
13 Pm 0.2407 0.4916 0.7152
14 Pm 0.2407 0.5084 0.2152
15 Pm 0.7593 0.4916 0.7848
16 Pm 0.7593 0.5084 0.2848
17 Tc 0.0693 0.2363 0.8655
18 Tc 0.0693 0.7637 0.3655
19 Tc 0.9307 0.2363 0.6345
20 Tc 0.9307 0.7637 0.1345

---

Entry 11:
Diffraction record for MgCdHg4. The powder diffractogram is simulated, not measured: it uses DFT lattice parameters and positions (GGA-PBE) and CuKα.

Top 10 peaks for 2θ from 5° to 70°, in order of rising 2θ:
- 2θ = 26.8°, d = 3.333 Å, rel. 259
- 2θ = 26.9°, d = 3.310 Å, rel. 194
- 2θ = 28.5°, d = 3.128 Å, rel. 169
- 2θ = 31.9°, d = 2.803 Å, rel. 458
- 2θ = 33.8°, d = 2.650 Å, rel. 1000
- 2θ = 36.9°, d = 2.433 Å, rel. 403
- 2θ = 37.7°, d = 2.387 Å, rel. 694
- 2θ = 43.4°, d = 2.086 Å, rel. 223
- 2θ = 45.3°, d = 2.000 Å, rel. 174
- 2θ = 62.1°, d = 1.496 Å, rel. 182

a = 6.9861 Å, b = 6.9861 Å, c = 6.7149 Å
α = 111.77°, β = 111.77°, γ = 28.44°
Positions (direct):
1 Mg 0.0000 0.0000 0.0000
2 Cd 0.0000 0.0000 0.5000
3 Hg 0.3413 0.3413 0.6544
4 Hg 0.3476 0.3476 0.1356
5 Hg 0.6524 0.6524 0.8644
6 Hg 0.6587 0.6587 0.3456

---

Please write out number 10 again, unchanged.
Diffraction record for La3PmTc. The powder diffractogram is simulated, not measured: it uses DFT lattice parameters and positions (GGA-PBE) and CuKα.

Top 10 peaks for 2θ from 5° to 70°, in order of rising 2θ:
- 2θ = 28.5°, d = 3.127 Å, rel. 422
- 2θ = 28.8°, d = 3.096 Å, rel. 279
- 2θ = 29.0°, d = 3.081 Å, rel. 1000
- 2θ = 29.6°, d = 3.014 Å, rel. 446
- 2θ = 31.4°, d = 2.845 Å, rel. 236
- 2θ = 35.1°, d = 2.558 Å, rel. 213
- 2θ = 35.8°, d = 2.507 Å, rel. 358
- 2θ = 38.2°, d = 2.355 Å, rel. 227
- 2θ = 52.3°, d = 1.748 Å, rel. 226
- 2θ = 57.6°, d = 1.601 Å, rel. 218

a = 7.2100 Å, b = 6.9801 Å, c = 13.1299 Å
α = 90.00°, β = 91.40°, γ = 90.00°
Positions (direct):
1 La 0.1136 0.2491 0.4529
2 La 0.1136 0.7509 0.9529
3 La 0.2490 0.0022 0.2161
4 La 0.2490 0.9978 0.7161
5 La 0.3832 0.2596 0.9609
6 La 0.3832 0.7404 0.4609
7 La 0.6168 0.2596 0.5391
8 La 0.6168 0.7404 0.0391
9 La 0.7510 0.0022 0.2839
10 La 0.7510 0.9978 0.7839
11 La 0.8864 0.2491 0.0471
12 La 0.8864 0.7509 0.5471
13 Pm 0.2407 0.4916 0.7152
14 Pm 0.2407 0.5084 0.2152
15 Pm 0.7593 0.4916 0.7848
16 Pm 0.7593 0.5084 0.2848
17 Tc 0.0693 0.2363 0.8655
18 Tc 0.0693 0.7637 0.3655
19 Tc 0.9307 0.2363 0.6345
20 Tc 0.9307 0.7637 0.1345